The following is a theoretical powder XRD pattern of Ce3Se3N. It was derived from a structure optimized by DFT (PBE), using Cu Kα (λ = 1.5418 Å).

Top 8 peaks for 2θ = 15–90°, in order of falling intensity:
2θ (°)  intensity
37.7  100
31.1  94
30.6  56
33.3  54
26.9  54
44.4  53
24.8  44
25.9  41

Cell lengths 12.7845, 4.0834, 13.2519 Å; angles 90.00, 90.00, 90.00 degrees
Atoms (fractional coordinates):
Ce (0.0383, 0.2500, 0.1537)
Ce (0.0733, 0.2500, 0.6281)
Ce (0.2176, 0.2500, 0.8627)
Ce (0.2824, 0.7500, 0.3627)
Ce (0.4267, 0.7500, 0.1281)
Ce (0.4617, 0.7500, 0.6537)
Ce (0.5383, 0.2500, 0.3463)
Ce (0.5733, 0.2500, 0.8719)
Ce (0.7176, 0.2500, 0.6373)
Ce (0.7824, 0.7500, 0.1373)
Ce (0.9267, 0.7500, 0.3719)
Ce (0.9617, 0.7500, 0.8463)
Se (0.0924, 0.2500, 0.3907)
Se (0.1315, 0.7500, 0.0010)
Se (0.2266, 0.7500, 0.6929)
Se (0.2734, 0.2500, 0.1929)
Se (0.3685, 0.2500, 0.5010)
Se (0.4076, 0.7500, 0.8907)
Se (0.5924, 0.2500, 0.1093)
Se (0.6315, 0.7500, 0.4990)
Se (0.7266, 0.7500, 0.8071)
Se (0.7734, 0.2500, 0.3071)
Se (0.8685, 0.2500, 0.9990)
Se (0.9076, 0.7500, 0.6093)
N (0.0466, 0.2500, 0.7961)
N (0.4534, 0.7500, 0.2961)
N (0.5466, 0.2500, 0.7039)
N (0.9534, 0.7500, 0.2039)

***

The following is a theoretical powder XRD pattern of Ce2Si2N5. It was derived from a structure optimized by DFT (PBE), using Cu Kα (λ = 1.5418 Å).

Top 8 peaks for 2θ = 15–90°, in order of falling intensity:
2θ (°)  intensity
31.0  100
36.3  91
24.6  58
33.4  46
39.7  45
27.4  39
21.0  31
46.7  28

Cell lengths 5.4707, 5.4707, 5.5956 Å; angles 103.89, 103.89, 41.64 degrees
Atoms (fractional coordinates):
Ce (0.1054, 0.1054, 0.3243)
Ce (0.8946, 0.8946, 0.6757)
Si (0.3468, 0.3468, 0.1091)
Si (0.6532, 0.6532, 0.8909)
N (0.1730, 0.1730, 0.9316)
N (0.3471, 0.3471, 0.4243)
N (0.5000, 0.5000, 0.0000)
N (0.6529, 0.6529, 0.5757)
N (0.8270, 0.8270, 0.0684)

***

The following is a theoretical powder XRD pattern of CeSi3N5. It was derived from a structure optimized by DFT (PBE), using Cu Kα (λ = 1.5418 Å).

Top 8 peaks for 2θ = 15–90°, in order of falling intensity:
2θ (°)  intensity
32.2  100
30.4  72
20.0  37
42.4  33
51.1  32
33.6  30
37.4  25
33.4  24

Cell lengths 4.8133, 7.8798, 11.3235 Å; angles 90.00, 90.00, 90.00 degrees
Atoms (fractional coordinates):
Ce (0.0003, 0.0584, 0.1709)
Ce (0.9997, 0.5584, 0.3291)
Ce (0.5003, 0.4416, 0.8291)
Ce (0.4997, 0.9416, 0.6709)
Si (0.0144, 0.1624, 0.8391)
Si (0.0174, 0.2934, 0.5833)
Si (0.0227, 0.4671, 0.0407)
Si (0.4773, 0.5329, 0.5407)
Si (0.4826, 0.7066, 0.0833)
Si (0.4856, 0.8376, 0.3391)
Si (0.5144, 0.3376, 0.1609)
Si (0.5174, 0.2066, 0.4167)
Si (0.5227, 0.0329, 0.9593)
Si (0.9773, 0.9671, 0.4593)
Si (0.9826, 0.7934, 0.9167)
Si (0.9856, 0.6624, 0.6609)
N (0.0470, 0.3432, 0.9196)
N (0.1674, 0.2064, 0.7053)
N (0.1701, 0.3897, 0.1680)
N (0.1840, 0.9818, 0.9066)
N (0.2031, 0.6499, 0.9895)
N (0.2969, 0.3501, 0.4895)
N (0.3160, 0.0182, 0.4066)
N (0.3299, 0.6103, 0.6680)
N (0.3326, 0.7936, 0.2053)
N (0.4530, 0.6568, 0.4196)
N (0.5470, 0.1568, 0.0804)
N (0.6674, 0.2936, 0.2947)
N (0.6701, 0.1103, 0.8320)
N (0.6840, 0.5182, 0.0934)
N (0.7031, 0.8501, 0.0105)
N (0.7969, 0.1499, 0.5105)
N (0.8160, 0.4818, 0.5934)
N (0.8299, 0.8897, 0.3320)
N (0.8326, 0.7064, 0.7947)
N (0.9530, 0.8432, 0.5804)